(1)
Diffraction record for BaNaP3H6O12. The powder XRD pattern is theoretical, not measured: it uses a structure optimized by DFT (GGA-PBE) and CuKα.
No peak broadening, texture or thermal motion is included.

Principal peaks in the range 15 to 90 degrees two-theta, by angle:
16.4°, I = 48
18.9°, I = 74
19.6°, I = 77
22.4°, I = 59
22.9°, I = 88
28.4°, I = 86
28.7°, I = 79
28.9°, I = 100
29.7°, I = 64
33.6°, I = 55

Structure:
```
data_BaNaP3H6O12
_chemical_formula_sum 'Ba2 Na2 P6 H12 O24'
_cell_length_a 7.1190
_cell_length_b 9.1210
_cell_length_c 10.0811
_cell_angle_alpha 63.89
_cell_angle_beta 84.67
_cell_angle_gamma 74.70
_space_group_name_H-M_alt 'P 1'
_space_group_IT_number 1
loop_
_space_group_symop_operation_xyz
'x,y,z'
loop_
_atom_site_label
_atom_site_fract_x
_atom_site_fract_y
_atom_site_fract_z
Ba1 0.0429 0.2373 0.3070
Ba2 0.9571 0.7627 0.6930
Na1 0.2188 0.3690 0.6296
Na2 0.7812 0.6310 0.3704
P1 0.1430 0.6920 0.0819
P2 0.1994 0.7735 0.3220
P3 0.4555 0.4727 0.3004
P4 0.5445 0.5273 0.6996
P5 0.8006 0.2265 0.6780
P6 0.8570 0.3080 0.9181
H1 0.2308 0.3100 0.9794
H2 0.2629 0.9835 0.8531
H3 0.2917 0.0068 0.6398
H4 0.3444 0.9032 0.5430
H5 0.3999 0.3438 0.0393
H6 0.4736 0.0092 0.8140
H7 0.5264 0.9908 0.1860
H8 0.6001 0.6562 0.9607
H9 0.6556 0.0968 0.4570
H10 0.7083 0.9932 0.3602
H11 0.7371 0.0165 0.1469
H12 0.7692 0.6900 0.0206
O1 0.0066 0.4068 0.8432
O2 0.0559 0.6910 0.4294
O3 0.1392 0.7882 0.9180
O4 0.1406 0.8214 0.1526
O5 0.2373 0.9761 0.5707
O6 0.2456 0.9248 0.3192
O7 0.3145 0.2671 0.0681
O8 0.3277 0.5687 0.7103
O9 0.3365 0.0607 0.7814
O10 0.3520 0.3406 0.3969
O11 0.3628 0.5665 0.1316
O12 0.4050 0.6308 0.3454
O13 0.5950 0.3692 0.6546
O14 0.6372 0.4335 0.8684
O15 0.6480 0.6594 0.6031
O16 0.6635 0.9393 0.2186
O17 0.6723 0.4313 0.2897
O18 0.6855 0.7329 0.9319
O19 0.7544 0.0752 0.6808
O20 0.7627 0.0239 0.4293
O21 0.8594 0.1786 0.8474
O22 0.8608 0.2118 0.0820
O23 0.9441 0.3090 0.5706
O24 0.9934 0.5932 0.1568
```


(2)
Diffraction record for BaNpH3O6. The powder XRD pattern is theoretical, not measured: it uses a structure optimized by DFT (GGA-PBE) and CuKα.
No peak broadening, texture or thermal motion is included.

Principal peaks in the range 15 to 90 degrees two-theta, by angle:
15.3°, I = 50
15.8°, I = 62
17.4°, I = 72
24.8°, I = 100
26.0°, I = 81
27.0°, I = 70
27.9°, I = 70
28.9°, I = 55
29.7°, I = 48
36.3°, I = 44

Structure:
```
data_BaNpH3O6
_chemical_formula_sum 'Ba2 Np2 H6 O12'
_cell_length_a 6.9051
_cell_length_b 7.0829
_cell_length_c 7.4446
_cell_angle_alpha 89.43
_cell_angle_beta 65.50
_cell_angle_gamma 66.55
_space_group_name_H-M_alt 'P 1'
_space_group_IT_number 1
loop_
_space_group_symop_operation_xyz
'x,y,z'
loop_
_atom_site_label
_atom_site_fract_x
_atom_site_fract_y
_atom_site_fract_z
Ba1 0.2080 0.4585 0.1683
Ba2 0.7920 0.5415 0.8317
Np1 0.0000 0.0000 0.0000
Np2 0.5000 0.5000 0.5000
H1 0.2701 0.9523 0.5612
H2 0.3261 0.9637 0.2363
H3 0.4840 0.0439 0.2952
H4 0.5160 0.9561 0.7048
H5 0.6739 0.0363 0.7637
H6 0.7299 0.0477 0.4388
O1 0.0791 0.2323 0.9764
O2 0.2122 0.4895 0.5415
O3 0.2429 0.8435 0.0776
O4 0.2913 0.8635 0.6615
O5 0.3209 0.0716 0.3238
O6 0.4653 0.4396 0.7574
O7 0.5347 0.5604 0.2426
O8 0.6791 0.9284 0.6762
O9 0.7087 0.1365 0.3385
O10 0.7571 0.1565 0.9224
O11 0.7878 0.5105 0.4585
O12 0.9209 0.7677 0.0236
```


What did the first record say?
Diffraction record for BaNaP3H6O12. The powder XRD pattern is theoretical, not measured: it uses a structure optimized by DFT (GGA-PBE) and CuKα.
No peak broadening, texture or thermal motion is included.

Principal peaks in the range 15 to 90 degrees two-theta, by angle:
16.4°, I = 48
18.9°, I = 74
19.6°, I = 77
22.4°, I = 59
22.9°, I = 88
28.4°, I = 86
28.7°, I = 79
28.9°, I = 100
29.7°, I = 64
33.6°, I = 55

Structure:
```
data_BaNaP3H6O12
_chemical_formula_sum 'Ba2 Na2 P6 H12 O24'
_cell_length_a 7.1190
_cell_length_b 9.1210
_cell_length_c 10.0811
_cell_angle_alpha 63.89
_cell_angle_beta 84.67
_cell_angle_gamma 74.70
_space_group_name_H-M_alt 'P 1'
_space_group_IT_number 1
loop_
_space_group_symop_operation_xyz
'x,y,z'
loop_
_atom_site_label
_atom_site_fract_x
_atom_site_fract_y
_atom_site_fract_z
Ba1 0.0429 0.2373 0.3070
Ba2 0.9571 0.7627 0.6930
Na1 0.2188 0.3690 0.6296
Na2 0.7812 0.6310 0.3704
P1 0.1430 0.6920 0.0819
P2 0.1994 0.7735 0.3220
P3 0.4555 0.4727 0.3004
P4 0.5445 0.5273 0.6996
P5 0.8006 0.2265 0.6780
P6 0.8570 0.3080 0.9181
H1 0.2308 0.3100 0.9794
H2 0.2629 0.9835 0.8531
H3 0.2917 0.0068 0.6398
H4 0.3444 0.9032 0.5430
H5 0.3999 0.3438 0.0393
H6 0.4736 0.0092 0.8140
H7 0.5264 0.9908 0.1860
H8 0.6001 0.6562 0.9607
H9 0.6556 0.0968 0.4570
H10 0.7083 0.9932 0.3602
H11 0.7371 0.0165 0.1469
H12 0.7692 0.6900 0.0206
O1 0.0066 0.4068 0.8432
O2 0.0559 0.6910 0.4294
O3 0.1392 0.7882 0.9180
O4 0.1406 0.8214 0.1526
O5 0.2373 0.9761 0.5707
O6 0.2456 0.9248 0.3192
O7 0.3145 0.2671 0.0681
O8 0.3277 0.5687 0.7103
O9 0.3365 0.0607 0.7814
O10 0.3520 0.3406 0.3969
O11 0.3628 0.5665 0.1316
O12 0.4050 0.6308 0.3454
O13 0.5950 0.3692 0.6546
O14 0.6372 0.4335 0.8684
O15 0.6480 0.6594 0.6031
O16 0.6635 0.9393 0.2186
O17 0.6723 0.4313 0.2897
O18 0.6855 0.7329 0.9319
O19 0.7544 0.0752 0.6808
O20 0.7627 0.0239 0.4293
O21 0.8594 0.1786 0.8474
O22 0.8608 0.2118 0.0820
O23 0.9441 0.3090 0.5706
O24 0.9934 0.5932 0.1568
```